Diffraction record for TlIn2Pd9. The powder XRD pattern is calculated, not measured: it uses a crystal structure in Alexandria, relaxed with PBE and λ = 1.5418 Å (Cu Kα).

Most intense lines, 15 to 90 degrees two-theta, by intensity:
2theta	d [Å]	Rel. int.	(hkl)
38.47	2.340	100.0	1 1 3
44.72	2.027	48.7	2 0 0
65.09	1.433	31.0	2 2 0
78.26	1.222	24.3	3 1 3
78.13	1.223	12.0	1 1 9
82.42	1.170	10.6	2 2 6
21.93	4.053	1.7	0 0 3
31.21	2.866	1.5	1 0 3
23.14	3.844	1.3	1 0 1
50.34	1.813	0.9	2 0 3
26.43	3.372	0.8	1 0 2
34.61	2.592	0.8	1 1 2

Structural model:
Cell lengths 4.0508, 4.0508, 12.1753 Å; angles 90.00, 90.00, 90.00 degrees
Element x y z (fractional)
Tl  0.0000  0.0000  0.0000
In  0.0000  0.0000  0.3345
In  0.0000  0.0000  0.6655
Pd  0.0000  0.5000  0.1707
Pd  0.0000  0.5000  0.5000
Pd  0.0000  0.5000  0.8293
Pd  0.5000  0.0000  0.1707
Pd  0.5000  0.0000  0.5000
Pd  0.5000  0.0000  0.8293
Pd  0.5000  0.5000  0.0000
Pd  0.5000  0.5000  0.3356
Pd  0.5000  0.5000  0.6644